Theoretical XRD peak list of Co3P2O14 for CuKα, from DFT lattice parameters and positions (PBE+U).
Peak positions follow from Bragg's law for the DFT cell and can differ from measured ones.

Most intense lines, 2θ = 15–90°, by intensity:
- 25.7 deg, intensity 100
- 28.9 deg, intensity 66
- 32.2 deg, intensity 58
- 20.3 deg, intensity 38
- 16.0 deg, intensity 26
- 50.8 deg, intensity 25
- 28.4 deg, intensity 22
- 41.3 deg, intensity 20
- 61.5 deg, intensity 20
- 53.0 deg, intensity 18

Unit cell a=7.666 b=7.666 c=7.666 alpha=132.40 beta=132.40 gamma=69.59
Sites, in units of the cell vectors:
1 Co 0.000 0.000 0.000
2 Co 0.289 0.289 0.000
3 Co 0.711 0.711 0.000
4 P 0.250 0.750 0.500
5 P 0.750 0.250 0.500
6 O 0.023 0.326 0.698
7 O 0.155 0.155 0.000
8 O 0.201 0.202 0.403
9 O 0.202 0.799 0.001
10 O 0.325 0.023 0.697
11 O 0.326 0.628 0.303
12 O 0.372 0.675 0.698
13 O 0.628 0.325 0.302
14 O 0.674 0.372 0.697
15 O 0.675 0.977 0.303
16 O 0.798 0.201 0.999
17 O 0.799 0.798 0.597
18 O 0.845 0.845 0.000
19 O 0.977 0.674 0.302